Computed X-ray diffraction stick pattern
Compound: CeSb3
Radiation: λ = 1.5418 Å (Cu Kα)
Structure: a structure optimized by DFT (PBE)
No peak broadening, texture or thermal motion is included.

Most intense lines, 10 to 80 degrees two-theta, by intensity:
2theta  Rel. int.  (hkl)
32.54  100  1 1 1
37.75  50  2 0 0
64.90  40  3 1 1
54.46  34  2 2 0
68.16  11  2 2 2

Structural model:
```
data_CeSb3
_cell_length_a 4.766
_cell_length_b 4.766
_cell_length_c 4.766
_cell_angle_alpha 90.00
_cell_angle_beta 90.00
_cell_angle_gamma 90.00
_symmetry_space_group_name_H-M 'P m -3 m'
_symmetry_Int_Tables_number 221
_symmetry_space_group_name_Hall '-P 4 2 3'
loop_
_atom_site_label
_atom_site_fract_x
_atom_site_fract_y
_atom_site_fract_z
_atom_site_occupancy
Ce1 0.000 0.000 0.000 1
Sb1 0.000 0.500 0.500 1
```

---

Computed X-ray diffraction stick pattern
Compound: CeScSb
Radiation: λ = 1.5418 Å (Cu Kα)
Structure: a structure optimized by DFT (PBE)
No peak broadening, texture or thermal motion is included.

Most intense lines, 10 to 80 degrees two-theta, by intensity:
2theta  Rel. int.  (hkl)
35.72  100  1 1 4
28.29  98  1 1 0
33.60  88  1 0 5
40.44  75  2 0 0
30.30  60  1 1 2
53.56  46  2 1 5

Structural model:
```
data_CeScSb
_cell_length_a 4.461
_cell_length_b 4.461
_cell_length_c 16.640
_cell_angle_alpha 90.00
_cell_angle_beta 90.00
_cell_angle_gamma 90.00
_symmetry_space_group_name_H-M 'I 4/m m m'
_symmetry_Int_Tables_number 139
_symmetry_space_group_name_Hall '-I 4 2'
loop_
_atom_site_label
_atom_site_fract_x
_atom_site_fract_y
_atom_site_fract_z
_atom_site_occupancy
Ce1 0.000 0.000 0.175 1
Sc1 0.000 0.500 0.000 1
Sb1 0.000 0.000 0.374 1
```

---

Computed X-ray diffraction stick pattern
Compound: CeSbSe
Radiation: λ = 1.5418 Å (Cu Kα)
Structure: a structure optimized by DFT (PBE)
No peak broadening, texture or thermal motion is included.

Most intense lines, 10 to 80 degrees two-theta, by intensity:
2theta  Rel. int.  (hkl)
31.41  100  2 1 1
36.05  94  4 1 1
30.12  52  6 0 0
36.94  28  6 0 1
42.59  28  0 2 0
42.46  27  0 0 2

Structural model:
```
data_CeSbSe
_cell_length_a 17.803
_cell_length_b 4.246
_cell_length_c 4.258
_cell_angle_alpha 90.00
_cell_angle_beta 90.00
_cell_angle_gamma 90.00
_symmetry_space_group_name_H-M 'P n m a'
_symmetry_Int_Tables_number 62
_symmetry_space_group_name_Hall '-P 2ac 2n'
loop_
_atom_site_label
_atom_site_fract_x
_atom_site_fract_y
_atom_site_fract_z
_atom_site_occupancy
Ce1 0.147 0.250 0.238 1
Sb1 0.000 0.250 0.748 1
Se1 0.183 0.750 0.736 1
```

---

Number 3 is which compound?
CeSbSe